Record 1
# W2SeS3
Computed XRD peak list, Cu Kα, 1.54184 Å. Input: a crystal structure in the Materials Project, relaxed with PBE.

Atomic structure:
```
W2SeS3
1.0
3.221 0.000 0.000
-1.611 2.790 0.000
0.000 0.000 36.401
W Se S
4 2 6
direct
0.000 0.000 0.000
0.000 0.000 0.376
0.333 0.667 0.188
0.333 0.667 0.564
0.000 0.000 0.516
0.000 0.000 0.611
0.000 0.000 0.145
0.000 0.000 0.231
0.333 0.667 0.043
0.333 0.667 0.333
0.333 0.667 0.419
0.333 0.667 0.957
```

Most intense lines, 2θ from 10° to 90°, by intensity:
Position (°2θ)	Rel. int.
12.16	100
37.83	52
45.92	29
14.60	26
32.10	21
32.94	18



Record 2
# LaOsN3
Computed XRD peak list, Cu Kα, 1.54184 Å. Input: a crystal structure in the Materials Project, relaxed with PBE.

Atomic structure:
```
LaOsN3
1.0
5.574 0.000 0.000
0.000 7.920 0.000
0.000 0.000 5.579
La Os N
4 4 12
direct
0.017 0.250 0.000
0.483 0.750 0.500
0.517 0.250 0.500
0.983 0.750 0.000
0.000 0.000 0.500
0.000 0.500 0.500
0.500 0.000 0.000
0.500 0.500 0.000
0.004 0.750 0.456
0.223 0.522 0.778
0.223 0.978 0.778
0.277 0.022 0.278
0.277 0.478 0.278
0.496 0.250 0.956
0.504 0.750 0.044
0.723 0.522 0.722
0.723 0.978 0.722
0.777 0.022 0.222
0.777 0.478 0.222
0.996 0.250 0.544
```

Most intense lines, 2θ from 10° to 90°, by intensity:
Position (°2θ)	Rel. int.
32.06	100
57.18	27
46.04	16
57.05	14
76.36	11
66.98	10



Record 3
# MgIn2O4
Computed XRD peak list, Cu Kα, 1.54184 Å. Input: a crystal structure in the Materials Project, relaxed with PBE.

Atomic structure:
```
MgIn2O4
1.0
0.000 4.530 4.530
4.530 0.000 4.530
4.530 4.530 0.000
Mg In O
2 4 8
direct
0.125 0.125 0.125
0.875 0.875 0.875
0.000 0.500 0.500
0.500 0.000 0.500
0.500 0.500 0.000
0.500 0.500 0.500
0.256 0.256 0.256
0.256 0.256 0.732
0.256 0.732 0.256
0.268 0.744 0.744
0.732 0.256 0.256
0.744 0.268 0.744
0.744 0.744 0.268
0.744 0.744 0.744
```

Most intense lines, 2θ from 10° to 90°, by intensity:
Position (°2θ)	Rel. int.
32.79	100
16.95	98
39.80	60
57.55	52
34.29	46
52.48	36



Record 4
# NaSn
Computed XRD peak list, Cu Kα, 1.54184 Å. Input: a crystal structure in the Materials Project, relaxed with PBE.

Atomic structure:
```
NaSn
1.0
-5.242 5.242 8.800
5.242 -5.242 8.800
5.242 5.242 -8.800
Na Sn
16 16
direct
0.002 0.498 0.250
0.128 0.250 0.378
0.248 0.998 0.995
0.250 0.372 0.122
0.250 0.872 0.622
0.252 0.248 0.750
0.372 0.750 0.122
0.498 0.748 0.495
0.502 0.252 0.505
0.628 0.250 0.878
0.748 0.752 0.250
0.750 0.128 0.378
0.750 0.628 0.878
0.752 0.002 0.005
0.872 0.750 0.622
0.998 0.502 0.750
0.005 0.059 0.691
0.059 0.868 0.054
0.132 0.686 0.191
0.186 0.632 0.691
0.314 0.005 0.446
0.368 0.559 0.554
0.441 0.495 0.809
0.495 0.186 0.054
0.505 0.814 0.946
0.559 0.505 0.191
0.632 0.441 0.446
0.686 0.995 0.554
0.814 0.368 0.309
0.868 0.314 0.809
0.941 0.132 0.946
0.995 0.941 0.309
```

Most intense lines, 2θ from 10° to 90°, by intensity:
Position (°2θ)	Rel. int.
15.63	100
31.17	47
31.79	43
33.85	36
34.42	32
32.84	24